Structure and calculated powder X-ray diffraction pattern of NdGa6Ag2 (a crystal structure in Alexandria, relaxed with GGA-PBE; CuKα).
No peak broadening, texture or thermal motion is included.

The 8 most intense peaks (2θ = 15–90°), low angle first:
Position (°2θ)	I/Imax	h k l
28.69	68	1 1 2
33.56	100	1 2 1
38.66	56	1 1 4
39.06	22	0 1 5
43.01	27	1 0 5
43.25	36	2 0 0
43.66	45	0 3 3
63.14	29	2 3 3

Structure:
a b c (Å): 4.184 7.238 12.164
angles (deg): 90.00 90.00 90.00
Space group Immm (No. 71)
Inequivalent atoms, fractional coordinates:
Nd (0.000, 0.000, 0.000) [2 per cell]
Ga (0.000, 0.177, 0.500) [4 per cell]
Ga (0.000, 0.312, 0.306) [8 per cell]
Ag (0.000, 0.500, 0.115) [4 per cell]

Structure and calculated powder X-ray diffraction pattern of Th2Al4CdAg3 (a crystal structure in Alexandria, relaxed with GGA-PBE; CuKα).
No peak broadening, texture or thermal motion is included.

The 8 most intense peaks (2θ = 15–90°), low angle first:
Position (°2θ)	I/Imax	h k l
21.83	27	1 0 1
28.82	25	1 1 0
31.80	75	1 0 3
33.18	100	1 1 2
41.21	49	2 0 0
46.13	32	1 0 5
52.98	36	2 1 3
63.55	25	2 1 5

Structure:
a b c (Å): 4.381 4.381 11.013
angles (deg): 90.00 90.00 90.00
Space group P-4m2 (No. 115)
Inequivalent atoms, fractional coordinates:
Th (0.000, 0.500, 0.245) [2 per cell]
Al (0.000, 0.000, 0.000) [1 per cell]
Al (0.000, 0.500, 0.643) [2 per cell]
Al (0.500, 0.500, 0.000) [1 per cell]
Cd (0.000, 0.000, 0.500) [1 per cell]
Ag (0.000, 0.500, 0.871) [2 per cell]
Ag (0.500, 0.500, 0.500) [1 per cell]

Structure and calculated powder X-ray diffraction pattern of AcHfCo2H8 (a crystal structure in Alexandria, relaxed with GGA-PBE; CuKα).
No peak broadening, texture or thermal motion is included.

The 8 most intense peaks (2θ = 15–90°), low angle first:
Position (°2θ)	I/Imax	h k l
24.42	48	0 1 2
28.26	15	0 0 6
29.45	100	1 0 4
39.53	50	1 1 0
44.61	25	0 1 8
49.30	22	2 -1 6
50.05	23	0 2 4
65.58	21	2 1 4

Structure:
a b c (Å): 4.5596 4.5596 18.9485
angles (deg): 90.00 90.00 120.00
Space group R-3 (No. 148, hexagonal axes)
Inequivalent atoms, fractional coordinates:
Ac (0.0000, 0.0000, 0.0000) [3 per cell]
Hf (0.0000, 0.0000, 0.5000) [3 per cell]
Co (0.0000, 0.0000, 0.2247) [6 per cell]
H (0.0000, 0.0000, 0.3062) [6 per cell]
H (0.0177, 0.3004, 0.8913) [18 per cell]